(1)
Diffraction record for Ac3Pu2Ru4. The X-ray powder pattern is computed, not measured: it uses a structure optimized by DFT (GGA-PBE) and Cu Kα (weighted mean of Kα1 and Kα2).
No peak broadening, texture or thermal motion is included.

Cell and atoms:
```
data_Ac3Pu2Ru4
_chemical_formula_sum 'Ac6 Pu4 Ru8'
_cell_length_a 11.865
_cell_length_b 4.271
_cell_length_c 9.285
_cell_angle_alpha 90.00
_cell_angle_beta 102.72
_cell_angle_gamma 90.00
_space_group_name_H-M_alt 'C 1 2/m 1'
_space_group_IT_number 12
loop_
_space_group_symop_operation_xyz
'x,y,z'
'-x,-y,-z'
'-x,y,-z'
'x,-y,z'
'x+1/2,y+1/2,z'
'-x+1/2,-y+1/2,-z'
'-x+1/2,y+1/2,-z'
'x+1/2,-y+1/2,z'
loop_
_atom_site_label
_atom_site_fract_x
_atom_site_fract_y
_atom_site_fract_z
_atom_site_occupancy
Ac1 0.000 0.000 0.000 1
Ac2 0.121 0.500 0.385 1
Pu1 0.178 0.500 0.786 1
Ru1 0.090 0.000 0.643 1
Ru2 0.224 0.500 0.091 1
```

Principal peaks in the range 2θ = 5–70°, in order of rising 2θ:
- 28.60 deg, rel. 50
- 30.25 deg, rel. 100
- 31.24 deg, rel. 85
- 38.69 deg, rel. 58
- 42.32 deg, rel. 41
- 52.90 deg, rel. 43

(2)
Diffraction record for TcRh3W. The X-ray powder pattern is computed, not measured: it uses a structure optimized by DFT (GGA-PBE) and Cu Kα (weighted mean of Kα1 and Kα2).
No peak broadening, texture or thermal motion is included.

Cell and atoms:
```
data_TcRh3W
_chemical_formula_sum 'Tc4 Rh12 W4'
_cell_length_a 4.741
_cell_length_b 13.706
_cell_length_c 4.753
_cell_angle_alpha 90.00
_cell_angle_beta 109.71
_cell_angle_gamma 90.00
_space_group_name_H-M_alt 'C 1 2/c 1'
_space_group_IT_number 15
loop_
_space_group_symop_operation_xyz
'x,y,z'
'-x,-y,-z'
'-x,y,-z+1/2'
'x,-y,z+1/2'
'x+1/2,y+1/2,z'
'-x+1/2,-y+1/2,-z'
'-x+1/2,y+1/2,-z+1/2'
'x+1/2,-y+1/2,z+1/2'
loop_
_atom_site_label
_atom_site_fract_x
_atom_site_fract_y
_atom_site_fract_z
_atom_site_occupancy
Tc1 0.000 0.148 0.250 1
Rh1 0.000 0.053 0.750 1
Rh2 0.000 0.249 0.750 1
Rh3 0.000 0.446 0.750 1
W1 0.000 0.350 0.250 1
```

Principal peaks in the range 2θ = 5–70°, in order of rising 2θ:
- 40.29 deg, rel. 100
- 40.42 deg, rel. 33
- 46.81 deg, rel. 22
- 46.95 deg, rel. 43
- 68.42 deg, rel. 20
- 68.54 deg, rel. 14